(1)
Computed XRD peak list
Compound: In4Cu3AgTe8
Radiation: Cu Kα, 1.54184 Å
Structure: a cell relaxed with GGA-PBE

The 10 most intense peaks (10 to 90 degrees two-theta), sorted by position:
- 24.28°, 3.665 Å, I 100, hkl 1 2 0
- 40.08°, 2.250 Å, I 25, hkl 2 0 4
- 40.22°, 2.242 Å, I 50, hkl 2 3 3
- 47.41°, 1.917 Å, I 29, hkl 3 3 1
- 47.66°, 1.908 Å, I 16, hkl 1 4 2
- 57.97°, 1.591 Å, I 7, hkl 4 2 2
- 63.78°, 1.459 Å, I 5, hkl 3 1 7
- 63.98°, 1.455 Å, I 12, hkl 3 4 6
- 72.91°, 1.297 Å, I 14, hkl 4 5 1
- 73.20°, 1.293 Å, I 8, hkl 2 6 2

Structural model:
```
In4Cu3AgTe8
1.0
6.3669 0.0000 0.0000
3.1828 7.0761 0.0000
3.1831 1.3560 11.3606
In Cu Ag Te
4 3 1 8
Direct
0.0000 0.0000 0.0000
0.0007 0.5032 0.4965
0.7485 0.6270 0.8745
0.7521 0.1264 0.3719
0.2504 0.3769 0.1241
0.2502 0.8764 0.6223
0.5005 0.7517 0.2482
0.5003 0.2516 0.7482
0.1414 0.3168 0.9457
0.1606 0.8138 0.4354
0.3683 0.1687 0.5687
0.3752 0.6720 0.0785
0.5900 0.0637 0.1855
0.5971 0.5803 0.6823
0.8744 0.4573 0.2934
0.8957 0.9408 0.7962
```



(2)
Computed XRD peak list
Compound: In4CuAg3Te8
Radiation: Cu Kα, 1.54184 Å
Structure: a cell relaxed with GGA-PBE

The 10 most intense peaks (10 to 90 degrees two-theta), sorted by position:
- 23.76°, 3.746 Å, I 100, hkl 1 1 2
- 39.05°, 2.306 Å, I 26, hkl 2 2 0
- 39.39°, 2.287 Å, I 52, hkl 2 0 4
- 46.22°, 1.964 Å, I 32, hkl 3 1 2
- 46.82°, 1.941 Å, I 16, hkl 1 1 6
- 56.42°, 1.631 Å, I 9, hkl 4 0 0
- 62.56°, 1.485 Å, I 13, hkl 3 1 6
- 70.98°, 1.328 Å, I 17, hkl 4 2 4
- 71.66°, 1.317 Å, I 8, hkl 2 2 8
- 75.82°, 1.255 Å, I 7, hkl 5 1 2

Structural model:
```
In4CuAg3Te8
1.0
6.5237 0.0000 0.0000
0.0000 6.5237 0.0000
0.0000 0.0000 12.8339
In Cu Ag Te
4 1 3 8
Direct
0.0000 0.0000 0.0000
0.0000 0.5000 0.2477
0.5000 0.0000 0.7523
0.5000 0.5000 0.5000
0.5000 0.5000 0.0000
0.0000 0.0000 0.5000
0.0000 0.5000 0.7515
0.5000 0.0000 0.2485
0.2430 0.2494 0.6255
0.2494 0.7570 0.3745
0.2621 0.7320 0.8812
0.2680 0.2621 0.1188
0.7320 0.7379 0.1188
0.7379 0.2680 0.8812
0.7506 0.2430 0.3745
0.7570 0.7506 0.6255
```